Structure and theoretical powder diffraction line list of In4Hg6Bi (a GGA-PBE-relaxed structure; a wavelength of 1.5418 Å).

Atomic structure:
Cell: 10.0233 10.0233 6.5785 Å, 90.00 90.00 90.00°
Space group P4_2/nmc (No. 137, origin choice 2)
Inequivalent atoms, fractional coordinates:
In1 0.0394 0.7500 0.1219
Hg1 0.0300 0.5300 0.7500
Hg2 0.2500 0.2500 0.1001
Bi1 0.2500 0.7500 0.7500

Peak list (12 most intense, 10 to 90 degrees two-theta, in order of rising 2θ)
d [Å]  I (rel.)  h k l
3.987  22  2 0 1
3.544  61  2 2 0
3.289  24  0 0 2
2.982  20  1 1 2
2.750  36  2 0 2
2.652  62  2 1 2
2.561  100  3 2 1
2.506  77  4 0 0
2.411  36  2 2 2
2.123  19  3 2 2
1.620  22  5 2 2
1.348  28  7 2 1